No. 1
Starting from a cell relaxed with GGA-PBE, the powder diffraction line list of TbTm5Te2 was calculated for Cu Kα.

Largest 10 diffraction maxima, by angle, 2θ = 10–90°:
30.2 deg, rel. 93, (1 2 1); 32.4 deg, rel. 87, (1 0 3); 35.1 deg, rel. 100, (0 2 4); 35.5 deg, rel. 35, (1 3 0); 35.7 deg, rel. 29, (0 4 0); 47.2 deg, rel. 26, (2 0 0); 49.0 deg, rel. 29, (1 4 3); 60.2 deg, rel. 42, (2 2 4); 60.6 deg, rel. 32, (2 4 0); 62.7 deg, rel. 37, (1 2 7)

```
16
Lattice="3.853 0.000 0.000 0.000 10.049 0.000 0.000 0.000 11.868" Properties=species:S:1:pos:R:3 pbc="T T T"
Tb 0.000 0.000 0.000
Tb 1.926 5.025 5.934
Tm 0.000 2.110 4.261
Tm 0.000 2.110 7.607
Tm 0.000 5.025 0.000
Tm 0.000 7.939 4.261
Tm 0.000 7.939 7.607
Tm 1.926 0.000 5.934
Tm 1.926 2.914 1.673
Tm 1.926 2.914 10.195
Tm 1.926 7.135 1.673
Tm 1.926 7.135 10.195
Te 0.000 5.025 3.189
Te 0.000 5.025 8.679
Te 1.926 0.000 2.745
Te 1.926 0.000 9.123
```



No. 2
Starting from a cell relaxed with GGA-PBE, the powder diffraction line list of AcEr2RuO8 was calculated for Cu Kα.

Largest 10 diffraction maxima, by angle, 2θ = 10–90°:
24.8 deg, rel. 53, (1 0 -1); 25.1 deg, rel. 52, (1 0 1); 31.1 deg, rel. 100, (1 2 0); 35.6 deg, rel. 29, (0 0 2); 47.8 deg, rel. 37, (2 2 -1); 48.1 deg, rel. 37, (2 2 1); 57.5 deg, rel. 9, (3 0 -1); 58.8 deg, rel. 11, (1 4 1); 61.1 deg, rel. 21, (0 2 3); 64.8 deg, rel. 12, (0 4 2)

```
12
Lattice="5.049 0.000 0.000 0.000 7.007 0.000 -0.055 0.000 5.051" Properties=species:S:1:pos:R:3 pbc="T T T"
Ac 0.000 0.000 0.000
Er 2.497 1.800 2.526
Er 2.497 5.207 2.526
Ru 0.000 3.504 0.000
O 0.944 2.125 0.948
O 0.944 4.882 0.948
O 1.328 3.504 3.676
O 1.601 0.000 3.401
O 3.393 0.000 1.650
O 3.666 3.504 1.375
O 4.050 2.125 4.104
O 4.050 4.882 4.104
```



No. 3
Starting from a cell relaxed with GGA-PBE, the powder diffraction line list of Ga4SnRh5 was calculated for Cu Kα.

Largest 10 diffraction maxima, by angle, 2θ = 10–90°:
37.2 deg, rel. 6, (1 0 4); 41.0 deg, rel. 100, (1 0 5); 42.1 deg, rel. 52, (1 1 0); 45.3 deg, rel. 5, (1 0 6); 57.6 deg, rel. 6, (0 0 10); 61.1 deg, rel. 17, (2 0 0); 73.9 deg, rel. 12, (1 1 10); 76.3 deg, rel. 31, (2 1 5); 79.7 deg, rel. 3, (1 1 11); 88.9 deg, rel. 7, (2 0 10)

```
10
Lattice="3.032 0.000 0.000 0.000 3.032 0.000 0.000 0.000 16.000" Properties=species:S:1:pos:R:3 pbc="T T T"
Ga 0.000 0.000 1.530
Ga 0.000 0.000 4.605
Ga 0.000 0.000 11.394
Ga 0.000 0.000 14.469
Sn 0.000 0.000 8.000
Rh 1.516 1.516 0.000
Rh 1.516 1.516 3.036
Rh 1.516 1.516 6.115
Rh 1.516 1.516 9.884
Rh 1.516 1.516 12.963
```



No. 4
Starting from a cell relaxed with GGA-PBE, the powder diffraction line list of MnIn2SbTe was calculated for Cu Kα.

Largest 10 diffraction maxima, by angle, 2θ = 10–90°:
15.1 deg, rel. 66, (1 0 0); 15.3 deg, rel. 30, (0 0 1); 26.5 deg, rel. 84, (1 1 1); 30.6 deg, rel. 100, (2 0 0); 30.8 deg, rel. 49, (0 0 2); 34.3 deg, rel. 35, (2 1 0); 43.8 deg, rel. 37, (2 2 0); 43.9 deg, rel. 72, (2 0 2); 51.9 deg, rel. 25, (3 1 1); 54.5 deg, rel. 38, (2 2 2)

```
5
Lattice="5.850 0.000 0.000 0.000 5.850 0.000 0.000 0.000 5.805" Properties=species:S:1:pos:R:3 pbc="T T T"
Mn 0.000 0.000 0.000
In 0.000 2.925 2.902
In 2.925 0.000 2.902
Sb 2.925 2.925 0.000
Te 2.925 2.925 2.902
```



No. 5
Starting from a cell relaxed with GGA-PBE, the powder diffraction line list of SmNp2O6 was calculated for Cu Kα.

Largest 10 diffraction maxima, by angle, 2θ = 10–90°:
28.4 deg, rel. 100, (1 0 1); 28.9 deg, rel. 31, (0 0 3); 33.1 deg, rel. 48, (0 1 2); 47.2 deg, rel. 33, (1 1 0); 47.8 deg, rel. 31, (1 0 4); 56.0 deg, rel. 16, (0 2 1); 56.3 deg, rel. 30, (1 1 3); 56.9 deg, rel. 15, (0 1 5); 76.2 deg, rel. 13, (2 1 1); 88.3 deg, rel. 11, (2 1 4)

```
9
Lattice="3.852 0.000 0.000 -1.926 3.336 0.000 0.000 0.000 9.255" Properties=species:S:1:pos:R:3 pbc="T T T"
Sm 0.000 0.000 0.000
Np 0.000 2.224 6.161
Np 1.926 1.112 3.094
O 0.000 0.000 2.487
O 0.000 0.000 6.768
O 0.000 2.224 3.890
O 0.000 2.224 8.326
O 1.926 1.112 0.929
O 1.926 1.112 5.365
```



No. 6
Starting from a cell relaxed with GGA-PBE, the powder diffraction line list of TiZn5Cu6 was calculated for Cu Kα.

Largest 10 diffraction maxima, by angle, 2θ = 10–90°:
42.6 deg, rel. 100, (1 2 1); 42.9 deg, rel. 32, (0 0 3); 43.2 deg, rel. 64, (1 2 -2); 61.2 deg, rel. 10, (2 0 2); 62.6 deg, rel. 10, (0 4 0); 62.9 deg, rel. 10, (2 0 -4); 77.6 deg, rel. 10, (3 2 0); 78.0 deg, rel. 10, (1 2 4); 78.7 deg, rel. 10, (2 4 -1); 78.8 deg, rel. 19, (0 4 3)

```
12
Lattice="4.246 0.000 0.000 0.000 5.938 0.000 -1.960 0.000 6.324" Properties=species:S:1:pos:R:3 pbc="T T T"
Ti 0.000 0.000 0.000
Zn 0.000 2.969 0.000
Zn 0.143 2.969 4.259
Zn 0.145 0.000 4.266
Zn 2.140 0.000 2.059
Zn 2.142 2.969 2.066
Cu 0.018 1.500 2.154
Cu 0.018 4.438 2.154
Cu 2.123 1.513 0.000
Cu 2.123 4.426 0.000
Cu 2.267 1.500 4.170
Cu 2.267 4.438 4.170
```



No. 7
Starting from a cell relaxed with GGA-PBE, the powder diffraction line list of La3Pr2Ho was calculated for Cu Kα.

Largest 10 diffraction maxima, by angle, 2θ = 10–90°:
28.7 deg, rel. 38, (1 1 1); 29.7 deg, rel. 34, (0 0 4); 31.6 deg, rel. 100, (1 1 2); 35.8 deg, rel. 21, (1 1 3); 49.1 deg, rel. 25, (3 0 0); 53.9 deg, rel. 22, (1 1 6); 58.4 deg, rel. 30, (3 0 4); 59.5 deg, rel. 16, (2 2 2); 80.7 deg, rel. 14, (4 1 2); 82.6 deg, rel. 11, (3 0 8)

```
12
Lattice="6.429 0.000 0.000 -3.214 5.567 0.000 0.000 0.000 12.031" Properties=species:S:1:pos:R:3 pbc="T T T"
La -1.061 1.838 3.008
La -2.153 3.729 9.023
La 2.123 0.000 3.008
La 1.061 1.838 9.023
La 4.306 0.000 9.023
La 2.153 3.729 3.008
Pr 0.000 3.712 0.000
Pr 0.000 3.712 6.015
Pr 3.214 1.856 0.000
Pr 3.214 1.856 6.015
Ho 0.000 0.000 0.000
Ho 0.000 0.000 6.015
```



No. 8
Starting from a cell relaxed with GGA-PBE, the powder diffraction line list of RbGe2Pb2 was calculated for Cu Kα.

Largest 10 diffraction maxima, by angle, 2θ = 10–90°:
14.0 deg, rel. 30, (1 1 0); 22.2 deg, rel. 33, (2 1 0); 29.6 deg, rel. 14, (2 0 1); 31.3 deg, rel. 100, (2 1 1); 31.7 deg, rel. 40, (3 1 0); 40.4 deg, rel. 15, (4 0 0); 42.6 deg, rel. 28, (3 2 1); 48.6 deg, rel. 13, (3 3 1); 55.4 deg, rel. 25, (3 1 2); 60.2 deg, rel. 17, (5 2 1)

```
10
Lattice="8.939 0.000 0.000 0.000 8.939 0.000 0.000 0.000 4.091" Properties=species:S:1:pos:R:3 pbc="T T T"
Rb 0.000 0.000 0.000
Rb 4.470 4.470 0.000
Ge 0.957 3.513 0.000
Ge 3.513 7.982 0.000
Ge 5.426 0.957 0.000
Ge 7.982 5.426 0.000
Pb 1.253 5.722 2.046
Pb 3.217 1.253 2.046
Pb 5.722 7.686 2.046
Pb 7.686 3.217 2.046
```



Which formula does entry 8 have? RbGe2Pb2